Computed powder diffractogram
Compound: Pm12Nd7Sc
Radiation: Cu Kα
Structure: a GGA-PBE-relaxed structure
Intensities are scaled so that the largest is 100.

Main lines, low angle first (5 to 70 degrees two-theta):
28.9 deg, intensity 48
30.2 deg, intensity 21
30.5 deg, intensity 94
31.0 deg, intensity 65
31.5 deg, intensity 79
31.8 deg, intensity 100
31.9 deg, intensity 78
32.7 deg, intensity 32
41.5 deg, intensity 17
47.9 deg, intensity 24
51.3 deg, intensity 20
55.4 deg, intensity 20

Structure:
```
data_Pm12Nd7Sc
_chemical_formula_sum 'Pm12 Nd7 Sc1'
_cell_length_a 6.9654
_cell_length_b 9.5050
_cell_length_c 11.6035
_cell_angle_alpha 109.73
_cell_angle_beta 104.27
_cell_angle_gamma 94.46
_space_group_name_H-M_alt 'P -1'
_space_group_IT_number 2
_space_group_name_Hall '-P 1'
loop_
_atom_site_label
_atom_site_type_symbol
_atom_site_fract_x
_atom_site_fract_y
_atom_site_fract_z
Pm1 Pm 0.0666 0.0429 0.3877
Pm2 Pm 0.2047 0.8448 0.1067
Pm3 Pm 0.2520 0.4540 0.0072
Pm4 Pm 0.2975 0.0630 0.9100
Pm5 Pm 0.3741 0.2707 0.6940
Pm6 Pm 0.4144 0.8789 0.5953
Nd1 Nd 0.1086 0.6293 0.2903
Nd2 Nd 0.1450 0.2403 0.2062
Nd3 Nd 0.3456 0.6649 0.8004
Nd4 Nd 0.5000 0.5000 0.5000
Sc1 Sc 0.0000 0.5000 0.5000
```

Computed powder diffractogram
Compound: Sr3RhF12
Radiation: Cu Kα
Structure: a GGA-PBE-relaxed structure
Intensities are scaled so that the largest is 100.

Main lines, low angle first (5 to 70 degrees two-theta):
12.9 deg, intensity 100
14.1 deg, intensity 48
19.2 deg, intensity 15
22.5 deg, intensity 25
26.0 deg, intensity 36
29.7 deg, intensity 17
38.9 deg, intensity 53
45.3 deg, intensity 11
45.4 deg, intensity 12
46.0 deg, intensity 10
53.5 deg, intensity 8
54.9 deg, intensity 8

Structure:
```
data_Sr3RhF12
_chemical_formula_sum 'Sr6 Rh2 F24'
_cell_length_a 7.9195
_cell_length_b 13.6561
_cell_length_c 6.2920
_cell_angle_alpha 90.00
_cell_angle_beta 90.00
_cell_angle_gamma 90.00
_space_group_name_H-M_alt 'C m m m'
_space_group_IT_number 65
_space_group_name_Hall '-C 2 2'
loop_
_atom_site_label
_atom_site_type_symbol
_atom_site_fract_x
_atom_site_fract_y
_atom_site_fract_z
Sr1 Sr 0.0000 0.0000 0.0000
Sr2 Sr 0.2500 0.2500 0.5000
Rh1 Rh 0.0000 0.0000 0.5000
F1 F 0.0000 0.2893 0.2948
F2 F 0.1479 0.0853 0.3106
```

Computed powder diffractogram
Compound: LaPmCI
Radiation: Cu Kα
Structure: a GGA-PBE-relaxed structure
Intensities are scaled so that the largest is 100.

Main lines, low angle first (5 to 70 degrees two-theta):
26.7 deg, intensity 39
27.5 deg, intensity 15
30.5 deg, intensity 87
32.6 deg, intensity 100
34.1 deg, intensity 33
46.7 deg, intensity 46
46.9 deg, intensity 16
56.8 deg, intensity 15
57.5 deg, intensity 12
58.1 deg, intensity 19
59.0 deg, intensity 40
61.3 deg, intensity 17

Structure:
```
data_LaPmCI
_chemical_formula_sum 'La3 Pm3 C3 I3'
_cell_length_a 3.8932
_cell_length_b 3.8932
_cell_length_c 23.6965
_cell_angle_alpha 90.00
_cell_angle_beta 90.00
_cell_angle_gamma 120.00
_space_group_name_H-M_alt 'R 3 m'
_space_group_IT_number 160
_space_group_name_Hall 'R 3 -2"'
loop_
_atom_site_label
_atom_site_type_symbol
_atom_site_fract_x
_atom_site_fract_y
_atom_site_fract_z
La1 La 0.0000 0.0000 0.0000
Pm1 Pm 0.0000 0.0000 0.2172
C1 C 0.0000 0.0000 0.6063
I1 I 0.0000 0.0000 0.7795
```